For Pu3GaIr2, DFT lattice parameters and positions (PBE) gives the theoretical XRD peak list in this record (CuKα).
Lines closer than 0.1° are merged.

a = 4.7644 Å, b = 14.0566 Å, c = 3.7340 Å
α = 90.00°, β = 90.00°, γ = 90.00°
Space group Cmmm (No. 65)
Symmetry-distinct sites (fractional):
Pu 0.0000 0.0000 0.0000 [2 per cell]
Pu 0.0000 0.3149 0.0000 [4 per cell]
Ga 0.0000 0.5000 0.5000 [2 per cell]
Ir 0.0000 0.1425 0.5000 [4 per cell]

Top 12 peaks for 2θ from 15° to 90°, by intensity:
- 2θ 36.08, I = 100.0, hkl 1 3 1
- 2θ 37.76, I = 24.9, hkl 2 0 0
- 2θ 67.09, I = 16.9, hkl 3 3 1
- 2θ 38.42, I = 14.4, hkl 0 6 0
- 2θ 48.78, I = 12.2, hkl 0 0 2
- 2θ 63.29, I = 11.3, hkl 2 0 2
- 2θ 76.52, I = 10.5, hkl 2 6 2
- 2θ 54.97, I = 10.4, hkl 2 6 0
- 2θ 35.07, I = 10.2, hkl 0 4 1
- 2θ 82.75, I = 9.7, hkl 1 3 3
- 2θ 71.80, I = 9.0, hkl 0 10 1
- 2θ 19.67, I = 8.4, hkl 1 1 0